For CsBaMoO4, the GGA+U geometry in Alexandria gives the computed powder diffraction line list in this record (λ = 1.5418 Å (Cu Kα)).
Intensities are scaled so that the largest is 100.

The 10 most intense peaks (10 to 90 degrees two-theta), by intensity:
26.28 deg, rel. 100, (0 1 2)
19.13 deg, rel. 88, (1 0 1)
27.67 deg, rel. 70, (0 2 0)
33.98 deg, rel. 50, (2 1 -2)
26.70 deg, rel. 42, (2 0 0)
38.82 deg, rel. 41, (2 2 0)
30.03 deg, rel. 40, (2 1 -1)
11.10 deg, rel. 39, (0 0 1)
27.18 deg, rel. 30, (1 1 -2)
31.75 deg, rel. 25, (1 1 2)

Cell and atoms:
abc: 6.846 6.448 8.173
angles: 90.00 102.70 90.00
Atoms (fractional coordinates):
Cs (0.204, 0.250, 0.413)
Cs (0.796, 0.750, 0.587)
Ba (0.303, 0.250, 0.932)
Ba (0.697, 0.750, 0.068)
Mo (0.216, 0.750, 0.151)
Mo (0.784, 0.250, 0.849)
O (0.069, 0.750, 0.316)
O (0.070, 0.750, 0.934)
O (0.403, 0.527, 0.173)
O (0.403, 0.973, 0.173)
O (0.597, 0.027, 0.827)
O (0.597, 0.473, 0.827)
O (0.930, 0.250, 0.066)
O (0.931, 0.250, 0.684)